Entry 1:
For Ho4ZrIn, DFT lattice parameters and positions (PBE) gives the simulated powder diffraction line list in this record (Cu Kα).

Structure:
```
Ho4ZrIn
1.0
5.1335 0.0000 0.0000
0.0000 5.1335 0.0000
0.0000 0.0000 7.4390
Ho Zr In
4 1 1
Direct
0.0000 0.5000 0.2435
0.0000 0.5000 0.7565
0.5000 0.0000 0.2435
0.5000 0.0000 0.7565
0.0000 0.0000 0.0000
0.5000 0.5000 0.5000
```

Peak list (10 most intense, 10° ≤ 2θ ≤ 90°, low angle first)
2θ/deg, I (rel.)
21.03, 21
23.92, 16
24.52, 31
34.53, 100
34.96, 49
42.81, 15
50.27, 17
61.58, 18
62.42, 36
72.81, 11


Entry 2:
For CeVN3, DFT lattice parameters and positions (PBE) gives the simulated powder diffraction line list in this record (Cu Kα).

Structure:
```
CeVN3
1.0
2.6516 -5.8585 0.0000
2.6516 5.8585 0.0000
0.0000 0.0000 3.7191
Ce V N
2 2 6
Direct
0.1549 0.8451 0.0000
0.8451 0.1549 0.0000
0.3858 0.6142 0.5000
0.6142 0.3858 0.5000
0.0000 0.5000 0.5000
0.2426 0.2426 0.5000
0.3571 0.6429 0.0000
0.5000 0.0000 0.5000
0.6429 0.3571 0.0000
0.7574 0.7574 0.5000
```

Peak list (10 most intense, 10° ≤ 2θ ≤ 90°, low angle first)
2θ/deg, I (rel.)
15.12, 23
28.39, 57
30.33, 88
30.52, 34
33.80, 44
37.45, 100
41.84, 26
46.18, 40
48.99, 26
62.89, 22


Entry 3:
For CsCd4, DFT lattice parameters and positions (PBE) gives the simulated powder diffraction line list in this record (Cu Kα).

Structure:
```
CsCd4
1.0
5.7329 0.0000 0.0000
0.0000 5.7329 0.0000
0.0000 0.0000 5.6527
Cs Cd
1 4
Direct
0.0000 0.0000 0.0000
0.0000 0.5000 0.5000
0.5000 0.0000 0.5000
0.5000 0.5000 0.0000
0.5000 0.5000 0.5000
```

Peak list (10 most intense, 10° ≤ 2θ ≤ 90°, low angle first)
2θ/deg, I (rel.)
15.46, 15
22.08, 22
27.07, 100
31.20, 93
31.66, 45
44.71, 34
45.05, 66
53.05, 30
55.81, 34
82.65, 22


Entry 4:
For SrTc2Au2, DFT lattice parameters and positions (PBE) gives the simulated powder diffraction line list in this record (Cu Kα).

Structure:
```
SrTc2Au2
1.0
-1.8776 1.8776 7.2354
1.8776 -1.8776 7.2354
1.8776 1.8776 -7.2354
Sr Tc Au
1 2 2
Direct
0.0000 0.0000 0.0000
0.2500 0.7500 0.5000
0.7500 0.2500 0.5000
0.3975 0.3975 0.0000
0.6025 0.6025 0.0000
```

Peak list (10 most intense, 10° ≤ 2θ ≤ 90°, low angle first)
2θ/deg, I (rel.)
24.49, 74
30.16, 45
33.76, 26
36.03, 87
37.28, 21
39.30, 100
42.22, 70
48.48, 55
64.11, 48
74.71, 30


Entry 5:
For Pm2ThIr2, DFT lattice parameters and positions (PBE) gives the simulated powder diffraction line list in this record (Cu Kα).

Structure:
```
Pm2ThIr2
1.0
10.3285 0.0000 0.0000
0.0000 7.0686 0.0000
-0.3770 0.0000 7.2432
Pm Th Ir
8 4 8
Direct
0.0188 0.2437 0.4330
0.0188 0.2563 0.9330
0.2936 0.6748 0.8718
0.2936 0.8252 0.3718
0.7064 0.1748 0.6282
0.7064 0.3252 0.1282
0.9812 0.7437 0.0670
0.9812 0.7563 0.5670
0.3673 0.1885 0.9955
0.3673 0.3115 0.4955
0.6327 0.6885 0.5045
0.6327 0.8115 0.0045
0.1788 0.0302 0.6994
0.1788 0.4698 0.1994
0.4729 0.5476 0.2024
0.4729 0.9524 0.7024
0.5271 0.0476 0.2976
0.5271 0.4524 0.7976
0.8212 0.5302 0.8006
0.8212 0.9698 0.3006
```

Peak list (10 most intense, 10° ≤ 2θ ≤ 90°, low angle first)
2θ/deg, I (rel.)
19.26, 33
29.23, 34
32.77, 65
33.46, 73
35.04, 55
35.49, 73
36.46, 100
36.96, 31
39.44, 36
39.81, 41


Entry 6:
For CsK3N8, DFT lattice parameters and positions (PBE) gives the simulated powder diffraction line list in this record (Cu Kα).

Structure:
```
CsK3N8
1.0
5.3692 -4.3579 0.0000
5.3692 4.3579 0.0000
-5.3315 0.0000 5.3810
Cs K N
1 3 8
Direct
0.0000 0.0000 0.0000
0.3579 0.6421 0.5000
0.5074 0.4926 0.0000
0.8565 0.1435 0.5000
0.0940 0.5090 0.9988
0.0938 0.5097 0.6046
0.4531 0.0813 0.5315
0.4545 0.0812 0.0031
0.4903 0.9062 0.3954
0.4910 0.9060 0.0012
0.9188 0.5455 0.9969
0.9187 0.5469 0.4685
```

Peak list (10 most intense, 10° ≤ 2θ ≤ 90°, low angle first)
2θ/deg, I (rel.)
15.47, 55
16.49, 33
26.33, 100
28.12, 19
31.16, 49
31.29, 48
33.34, 76
42.87, 30
43.07, 30
44.89, 33